Record 1
# Th6CoBr15
Theoretical powder diffractogram, λ = 1.5418 Å (Cu Kα). Input: a PBE-relaxed structure.

Principal peaks in the range 2θ from 10° to 90°, sorted by position:
2θ (°)	I (rel.)	(hkl)
10.65	80	1 1 0
15.08	14	2 0 0
18.50	30	2 1 1
21.39	14	2 2 0
28.42	39	3 2 1
30.43	100	4 0 0
35.84	17	3 3 2
39.09	19	5 1 0
43.57	73	4 4 0
54.07	25	4 4 4
71.86	32	8 4 0
80.00	24	8 4 4

Crystal structure
```
data_Th6CoBr15
_chemical_formula_sum 'Th12 Co2 Br30'
_symmetry_space_group_name_H-M 'I m -3 m'
_symmetry_Int_Tables_number 229
_symmetry_space_group_name_Hall '-I 4 2 3'
_cell_length_a 11.751
_cell_length_b 11.751
_cell_length_c 11.751
_cell_angle_alpha 90.00
_cell_angle_beta 90.00
_cell_angle_gamma 90.00
loop_
_atom_site_label
_atom_site_type_symbol
_atom_site_fract_x
_atom_site_fract_y
_atom_site_fract_z
Th1 Th 0.000 0.000 0.237
Co1 Co 0.000 0.000 0.000
Br1 Br 0.000 0.000 0.500
Br2 Br 0.000 0.249 0.249
```

***

Record 2
# Na2LaHfP3O12
Theoretical powder diffractogram, λ = 1.5418 Å (Cu Kα). Input: a PBE-relaxed structure.

Principal peaks in the range 2θ from 10° to 90°, sorted by position:
2θ (°)	I (rel.)	(hkl)
13.30	41	2 0 0
18.70	94	1 1 1
19.00	71	3 1 -1
19.10	38	0 2 0
22.20	32	0 2 1
26.80	49	4 0 0
29.81	100	3 1 -3
33.04	23	4 2 0
33.16	28	6 0 -2
33.34	36	3 3 -1
45.21	22	6 2 -4
49.00	20	1 3 3

Crystal structure
```
data_Na2LaHfP3O12
_chemical_formula_sum 'Na8 La4 Hf4 P12 O48'
_symmetry_space_group_name_H-M 'C 1 c 1'
_symmetry_Int_Tables_number 9
_symmetry_space_group_name_Hall 'C -2yc'
_cell_length_a 16.214
_cell_length_b 9.294
_cell_length_c 9.510
_cell_angle_alpha 90.00
_cell_angle_beta 124.67
_cell_angle_gamma 90.00
loop_
_atom_site_label
_atom_site_type_symbol
_atom_site_fract_x
_atom_site_fract_y
_atom_site_fract_z
Na1 Na 0.000 0.103 0.000
Na2 Na 0.250 0.249 0.235
La1 La 0.396 0.237 0.689
Hf1 Hf 0.109 0.258 0.798
P1 P 0.017 0.447 0.999
P2 P 0.142 0.087 0.484
P3 P 0.356 0.385 0.004
O1 O 0.050 0.140 0.316
O2 O 0.073 0.444 0.654
O3 O 0.095 0.361 0.985
O4 O 0.135 0.134 0.639
O5 O 0.141 0.083 0.980
O6 O 0.235 0.144 0.500
O7 O 0.261 0.308 0.977
O8 O 0.350 0.451 0.520
O9 O 0.357 0.364 0.846
O10 O 0.447 0.029 0.836
O11 O 0.453 0.166 0.517
O12 O 0.456 0.319 0.165
```

***

Record 3
# ErGaCo
Theoretical powder diffractogram, λ = 1.5418 Å (Cu Kα). Input: a PBE-relaxed structure.

Principal peaks in the range 2θ from 10° to 90°, sorted by position:
2θ (°)	I (rel.)	(hkl)
24.74	23	0 1 1
34.73	18	2 1 0
34.89	77	1 1 2
35.76	23	2 0 2
36.74	100	2 1 1
37.86	33	1 0 3
41.86	27	0 1 3
42.33	18	3 0 1
44.40	35	0 2 0
54.87	19	3 0 3
59.74	19	1 2 3
68.81	20	3 1 4

Crystal structure
```
data_ErGaCo
_chemical_formula_sum 'Er4 Ga4 Co4'
_symmetry_space_group_name_H-M 'P n m a'
_symmetry_Int_Tables_number 62
_symmetry_space_group_name_Hall '-P 2ac 2n'
_cell_length_a 6.672
_cell_length_b 4.081
_cell_length_c 7.629
_cell_angle_alpha 90.00
_cell_angle_beta 90.00
_cell_angle_gamma 90.00
loop_
_atom_site_label
_atom_site_type_symbol
_atom_site_fract_x
_atom_site_fract_y
_atom_site_fract_z
Er1 Er 0.027 0.250 0.184
Ga1 Ga 0.153 0.250 0.564
Co1 Co 0.229 0.750 0.381
```